1.
Theoretical powder XRD pattern
Compound: Nd2Hg2Te
Radiation: Cu Kα
Structure: a cell relaxed with GGA-PBE
Neutral-atom scattering factors, no anomalous dispersion.

Cell and atoms:
```
data_Nd2Hg2Te
_symmetry_space_group_name_H-M 'R -3 m'
_symmetry_Int_Tables_number 166
_symmetry_space_group_name_Hall '-R 3 2"'
_cell_length_a 4.9559
_cell_length_b 4.9559
_cell_length_c 19.9875
_cell_angle_alpha 90.00
_cell_angle_beta 90.00
_cell_angle_gamma 120.00
loop_
_atom_site_label
_atom_site_type_symbol
_atom_site_fract_x
_atom_site_fract_y
_atom_site_fract_z
_atom_site_occupancy
Nd1 Nd 0.0000 0.0000 0.0923 1
Hg1 Hg 0.0000 0.0000 0.3215 1
Te1 Te 0.0000 0.0000 0.5000 1
```

Top 12 peaks for 2θ = 10–80°, sorted by position:
2θ = 13.3°, d 6.663, intensity 20, (0 0 3); 2θ = 30.6°, d 2.925, intensity 100, (0 1 5); 2θ = 36.3°, d 2.478, intensity 82, (1 1 0); 2θ = 37.8°, d 2.377, intensity 10, (1 0 7); 2θ = 38.8°, d 2.323, intensity 10, (1 1 3); 2θ = 48.1°, d 1.891, intensity 29, (2 0 5); 2θ = 50.4°, d 1.812, intensity 11, (1 0 10); 2θ = 55.6°, d 1.654, intensity 8, (1 1 9); 2θ = 61.7°, d 1.503, intensity 27, (1 2 5); 2θ = 65.2°, d 1.431, intensity 15, (3 0 0); 2θ = 67.8°, d 1.382, intensity 14, (1 1 12); 2θ = 77.0°, d 1.239, intensity 9, (2 2 0)


2.
Theoretical powder XRD pattern
Compound: Be2AlAu7
Radiation: Cu Kα
Structure: a cell relaxed with GGA-PBE
Neutral-atom scattering factors, no anomalous dispersion.

Cell and atoms:
```
data_Be2AlAu7
_symmetry_space_group_name_H-M 'I 4/m m m'
_symmetry_Int_Tables_number 139
_symmetry_space_group_name_Hall '-I 4 2'
_cell_length_a 4.084
_cell_length_b 4.084
_cell_length_c 19.749
_cell_angle_alpha 90.00
_cell_angle_beta 90.00
_cell_angle_gamma 90.00
loop_
_atom_site_label
_atom_site_type_symbol
_atom_site_fract_x
_atom_site_fract_y
_atom_site_fract_z
_atom_site_occupancy
Be1 Be 0.000 0.000 0.176 1
Al1 Al 0.000 0.000 0.500 1
Au1 Au 0.000 0.000 0.000 1
Au2 Au 0.000 0.500 0.105 1
Au3 Au 0.000 0.500 0.250 1
```

Top 12 peaks for 2θ = 10–80°, sorted by position:
2θ = 27.1°, d 3.292, intensity 27, (0 0 6); 2θ = 31.0°, d 2.888, intensity 73, (1 1 0); 2θ = 32.3°, d 2.772, intensity 26, (1 1 2); 2θ = 36.0°, d 2.493, intensity 30, (1 1 4); 2θ = 36.4°, d 2.469, intensity 29, (0 0 8); 2θ = 41.6°, d 2.171, intensity 100, (1 1 6); 2θ = 44.4°, d 2.042, intensity 62, (2 0 0); 2θ = 48.5°, d 1.876, intensity 18, (1 1 8); 2θ = 58.7°, d 1.573, intensity 30, (2 0 8); 2θ = 64.5°, d 1.444, intensity 21, (2 2 0); 2θ = 74.9°, d 1.267, intensity 26, (1 1 14); 2θ = 79.8°, d 1.202, intensity 31, (3 1 6)


3.
Theoretical powder XRD pattern
Compound: TbUTl2O8
Radiation: Cu Kα
Structure: a cell relaxed with GGA-PBE
Neutral-atom scattering factors, no anomalous dispersion.

Cell and atoms:
```
data_TbUTl2O8
_symmetry_space_group_name_H-M 'C m m m'
_symmetry_Int_Tables_number 65
_symmetry_space_group_name_Hall '-C 2 2'
_cell_length_a 7.248
_cell_length_b 7.418
_cell_length_c 6.902
_cell_angle_alpha 90.00
_cell_angle_beta 90.00
_cell_angle_gamma 90.00
loop_
_atom_site_label
_atom_site_type_symbol
_atom_site_fract_x
_atom_site_fract_y
_atom_site_fract_z
_atom_site_occupancy
Tb1 Tb 0.000 0.000 0.000 1
U1 U 0.000 0.000 0.500 1
Tl1 Tl 0.000 0.500 0.249 1
O1 O 0.000 0.177 0.275 1
O2 O 0.192 0.500 0.000 1
O3 O 0.200 0.500 0.500 1
```

Top 12 peaks for 2θ = 10–80°, sorted by position:
2θ = 24.0°, d 3.709, intensity 59, (0 2 0); 2θ = 24.6°, d 3.624, intensity 54, (2 0 0); 2θ = 31.1°, d 2.873, intensity 100, (1 1 2); 2θ = 34.6°, d 2.592, intensity 34, (2 2 0); 2θ = 46.9°, d 1.937, intensity 41, (1 3 2); 2θ = 47.5°, d 1.912, intensity 39, (3 1 2); 2θ = 55.7°, d 1.651, intensity 10, (2 4 0); 2θ = 56.5°, d 1.628, intensity 10, (4 2 0); 2θ = 59.0°, d 1.565, intensity 10, (0 2 4); 2θ = 59.9°, d 1.545, intensity 23, (3 3 2); 2θ = 64.9°, d 1.436, intensity 12, (2 2 4); 2θ = 70.3°, d 1.340, intensity 10, (1 5 2)


4.
Theoretical powder XRD pattern
Compound: CaScAl
Radiation: Cu Kα
Structure: a cell relaxed with GGA-PBE
Neutral-atom scattering factors, no anomalous dispersion.

Cell and atoms:
```
data_CaScAl
_symmetry_space_group_name_H-M 'C 1 m 1'
_symmetry_Int_Tables_number 8
_cell_length_a 17.195
_cell_length_b 3.384
_cell_length_c 5.228
_cell_angle_alpha 90.00
_cell_angle_beta 94.01
_cell_angle_gamma 90.00
loop_
_symmetry_equiv_pos_as_xyz
'x,y,z'
'x,-y,z'
'x+1/2,y+1/2,z'
'x+1/2,-y+1/2,z'
loop_
_atom_site_label
_atom_site_type_symbol
_atom_site_fract_x
_atom_site_fract_y
_atom_site_fract_z
_atom_site_occupancy
Ca1 Ca 0.000 0.000 0.000 1
Ca2 Ca 0.132 0.000 0.530 1
Sc1 Sc 0.209 0.500 0.047 1
Sc2 Sc 0.325 0.500 0.579 1
Al1 Al 0.345 0.000 0.098 1
Al2 Al 0.463 0.000 0.492 1
```

Top 12 peaks for 2θ = 10–80°, sorted by position:
2θ = 26.0°, d 3.432, intensity 13, (4 0 -1); 2θ = 27.8°, d 3.204, intensity 21, (4 0 1); 2θ = 30.7°, d 2.912, intensity 22, (3 1 0); 2θ = 31.3°, d 2.859, intensity 21, (6 0 0); 2θ = 34.4°, d 2.608, intensity 42, (0 0 2); 2θ = 34.7°, d 2.583, intensity 100, (3 1 -1); 2θ = 35.8°, d 2.505, intensity 60, (3 1 1); 2θ = 36.9°, d 2.436, intensity 13, (6 0 1); 2θ = 42.1°, d 2.146, intensity 14, (8 0 0); 2θ = 54.2°, d 1.692, intensity 13, (0 2 0); 2θ = 61.1°, d 1.517, intensity 12, (3 1 -3); 2θ = 65.8°, d 1.420, intensity 11, (0 2 2)


5.
Theoretical powder XRD pattern
Compound: BaMgZnS3
Radiation: Cu Kα
Structure: a cell relaxed with GGA-PBE
Neutral-atom scattering factors, no anomalous dispersion.

Cell and atoms:
```
data_BaMgZnS3
_symmetry_space_group_name_H-M 'C m c m'
_symmetry_Int_Tables_number 63
_symmetry_space_group_name_Hall '-C 2c 2'
_cell_length_a 3.996
_cell_length_b 13.676
_cell_length_c 9.995
_cell_angle_alpha 90.00
_cell_angle_beta 90.00
_cell_angle_gamma 90.00
loop_
_atom_site_label
_atom_site_type_symbol
_atom_site_fract_x
_atom_site_fract_y
_atom_site_fract_z
_atom_site_occupancy
Ba1 Ba 0.000 0.249 0.250 1
Mg1 Mg 0.000 0.500 0.000 1
Zn1 Zn 0.000 0.031 0.750 1
S1 S 0.000 0.125 0.558 1
S2 S 0.000 0.434 0.750 1
```

Top 12 peaks for 2θ = 10–80°, sorted by position:
2θ = 17.7°, d 4.998, intensity 51, (0 0 2); 2θ = 24.9°, d 3.581, intensity 27, (1 1 1); 2θ = 31.1°, d 2.878, intensity 100, (1 3 1); 2θ = 31.7°, d 2.822, intensity 41, (0 4 2); 2θ = 34.8°, d 2.575, intensity 18, (1 3 2); 2θ = 35.7°, d 2.515, intensity 30, (1 1 3); 2θ = 35.9°, d 2.499, intensity 25, (0 0 4); 2θ = 40.4°, d 2.231, intensity 26, (1 3 3); 2θ = 45.4°, d 1.998, intensity 19, (2 0 0); 2θ = 53.0°, d 1.729, intensity 17, (1 7 1); 2θ = 55.2°, d 1.665, intensity 29, (0 0 6); 2θ = 59.5°, d 1.553, intensity 19, (1 7 3)